# 1
This entry pairs a crystal structure of Ac8Sb3Te4 with its computed powder X-ray diffraction pattern. Radiation: Cu Ka. Structure: the GGA-PBE geometry in Alexandria.

Structure:
Cell: 13.3516 13.3796 9.4456 Å, 90.00 134.80 90.00°
Space group C2/m (No. 12)
Unique sites:
Ac  0.0000  0.2473  0.0000 (multiplicity 4)
Ac  0.0000  0.2469  0.5000 (multiplicity 4)
Ac  0.2417  0.0000  0.4951 (multiplicity 4)
Ac  0.2464  0.0000  0.9978 (multiplicity 4)
Sb  0.0000  0.0000  0.0000 (multiplicity 2)
Sb  0.2500  0.2500  0.5000 (multiplicity 4)
Te  0.0000  0.5000  0.0000 (multiplicity 2)
Te  0.0000  0.5000  0.5000 (multiplicity 2)
Te  0.2500  0.2500  0.0000 (multiplicity 4)

Largest 10 diffraction maxima, by intensity, 10 to 90 degrees two-theta:
| index | d [Å] | I_rel |
| --- | --- | --- |
| 0 4 0 | 3.348 | 100 |
| 0 4 2 | 2.366 | 98 |
| 4 0 -2 | 3.338 | 49 |
| 4 4 -4 | 1.931 | 43 |
| 2 2 -2 | 3.862 | 32 |
| 4 0 -6 | 1.496 | 28 |
| 4 4 -6 | 1.365 | 28 |
| 4 0 -4 | 2.361 | 20 |
| 0 4 4 | 1.498 | 14 |
| 8 0 -6 | 1.493 | 14 |

***

# 2
This entry pairs a crystal structure of PuAl4Ni with its computed powder X-ray diffraction pattern. Radiation: Cu Ka. Structure: the GGA-PBE geometry in Alexandria.

Structure:
Cell: 7.5803 4.0108 6.7967 Å, 90.00 90.00 90.00°
Space group Pmma (No. 51)
Unique sites:
Pu  0.2500  0.0000  0.1202 (multiplicity 2)
Al  0.0000  0.0000  0.5000 (multiplicity 2)
Al  0.0652  0.5000  0.8076 (multiplicity 4)
Al  0.2500  0.5000  0.4486 (multiplicity 2)
Ni  0.2500  0.0000  0.6935 (multiplicity 2)

Largest 10 diffraction maxima, by intensity, 10 to 90 degrees two-theta:
| index | d [Å] | I_rel |
| --- | --- | --- |
| 1 1 2 | 2.453 | 100 |
| 1 0 2 | 3.101 | 60 |
| 2 1 0 | 2.755 | 58 |
| 2 0 0 | 3.790 | 56 |
| 0 1 0 | 4.011 | 56 |
| 2 1 1 | 2.553 | 54 |
| 0 0 1 | 6.797 | 36 |
| 3 1 2 | 1.810 | 29 |
| 3 0 2 | 2.028 | 26 |
| 1 1 1 | 3.143 | 25 |

***

# 3
This entry pairs a crystal structure of Ba2ScPaO6 with its computed powder X-ray diffraction pattern. Radiation: Cu Ka. Structure: the GGA-PBE geometry in Alexandria.

Structure:
Cell: 4.3413 4.3413 8.6395 Å, 90.00 90.00 90.00°
Space group P4/mmm (No. 123)
Unique sites:
Ba  0.0000  0.0000  0.2149 (multiplicity 2)
Sc  0.5000  0.5000  0.0000 (multiplicity 1)
Pa  0.5000  0.5000  0.5000 (multiplicity 1)
O  0.0000  0.5000  0.0000 (multiplicity 2)
O  0.0000  0.5000  0.5000 (multiplicity 2)
O  0.5000  0.5000  0.2507 (multiplicity 2)

Largest 10 diffraction maxima, by intensity, 10 to 90 degrees two-theta:
| index | d [Å] | I_rel |
| --- | --- | --- |
| 1 1 0 | 3.065 | 100 |
| 1 0 1 | 3.879 | 29 |
| 2 1 2 | 1.771 | 27 |
| 2 0 0 | 2.171 | 22 |
| 3 1 0 | 1.373 | 12 |
| 1 1 3 | 2.100 | 12 |
| 0 0 1 | 8.640 | 10 |
| 2 0 4 | 1.531 | 10 |
| 1 1 4 | 1.766 | 10 |
| 2 1 1 | 1.894 | 9 |